CoTeSeO6: calculated X-ray powder pattern (λ = 1.5418 Å (Cu Kα)), based on a crystal structure in OQMD, relaxed with GGA+U.

Peak list (12 most intense, 10° ≤ 2θ ≤ 80°, by intensity)
| hkl | Position (°2θ) | intensity |
| --- | --- | --- |
| 1 1 2 | 32.31 | 100 |
| 1 1 0 | 24.98 | 43 |
| 1 1 1 | 26.98 | 32 |
| 2 2 0 | 51.25 | 24 |
| 0 0 2 | 20.16 | 20 |
| 1 3 2 | 60.41 | 20 |
| 0 2 0 | 34.49 | 16 |
| 3 1 2 | 63.34 | 14 |
| 1 0 2 | 27.23 | 14 |
| 1 2 5 | 66.95 | 12 |
| 2 1 3 | 51.69 | 12 |
| 2 0 0 | 36.70 | 12 |

Atomic structure:
Cell lengths 4.8977, 5.2001, 8.8079 Å; angles 90.00, 90.00, 90.00 degrees
Element x y z (fractional)
Co (0.0000, 0.0000, 0.0253)
Co (0.5000, 0.5000, 0.9747)
Te (0.0000, 0.5000, 0.2559)
Te (0.5000, 0.0000, 0.7441)
Se (0.0000, 0.5000, 0.6758)
Se (0.5000, 0.0000, 0.3242)
O (0.1692, 0.2864, 0.5757)
O (0.2079, 0.6748, 0.1050)
O (0.2291, 0.6654, 0.7900)
O (0.2709, 0.1654, 0.2100)
O (0.2921, 0.1748, 0.8950)
O (0.3308, 0.7864, 0.4243)
O (0.6692, 0.2136, 0.4243)
O (0.7079, 0.8252, 0.8950)
O (0.7291, 0.8346, 0.2100)
O (0.7709, 0.3346, 0.7900)
O (0.7921, 0.3252, 0.1050)
O (0.8308, 0.7136, 0.5757)